1.
# Pu6Ge3O
Theoretical X-ray powder pattern, Cu Kα (λ = 1.5418 Å). Input: a GGA-PBE-relaxed structure.
Peak positions follow from Bragg's law for the DFT cell and can differ from measured ones.

abc: 6.144 6.144 7.233
angles: 99.27 99.27 59.52
Element x y z (fractional)
1 Pu 0.135 0.647 0.646
2 Pu 0.343 0.343 0.110
3 Pu 0.353 0.865 0.354
4 Pu 0.647 0.135 0.646
5 Pu 0.657 0.657 0.890
6 Pu 0.865 0.353 0.354
7 Ge 0.000 0.000 0.000
8 Ge 0.158 0.158 0.728
9 Ge 0.842 0.842 0.272
10 O 0.500 0.500 0.500

Largest 10 diffraction maxima, in order of falling intensity, 2θ = 10–90°:
2θ 27.59, I 1000
2θ 34.21, I 951
2θ 35.19, I 915
2θ 31.93, I 896
2θ 37.48, I 873
2θ 32.98, I 796
2θ 49.29, I 371
2θ 56.08, I 351
2θ 56.99, I 330
2θ 30.12, I 318

***

2.
# Pu3Sb4Rh3
Theoretical X-ray powder pattern, Cu Kα (λ = 1.5418 Å). Input: a GGA-PBE-relaxed structure.
Peak positions follow from Bragg's law for the DFT cell and can differ from measured ones.

abc: 8.411 8.411 8.411
angles: 109.47 109.47 109.47
Element x y z (fractional)
1 Pu 0.125 0.750 0.875
2 Pu 0.250 0.625 0.375
3 Pu 0.375 0.250 0.625
4 Pu 0.625 0.375 0.250
5 Pu 0.750 0.875 0.125
6 Pu 0.875 0.125 0.750
7 Sb 0.000 0.335 0.500
8 Sb 0.000 0.835 0.500
9 Sb 0.165 0.165 0.165
10 Sb 0.335 0.500 0.000
11 Sb 0.500 0.000 0.335
12 Sb 0.500 0.000 0.835
13 Sb 0.665 0.665 0.665
14 Sb 0.835 0.500 0.000
15 Rh 0.125 0.875 0.250
16 Rh 0.250 0.125 0.875
17 Rh 0.375 0.625 0.750
18 Rh 0.625 0.750 0.375
19 Rh 0.750 0.375 0.625
20 Rh 0.875 0.250 0.125

Largest 10 diffraction maxima, in order of falling intensity, 2θ = 10–90°:
2θ 34.55, I 1000
2θ 41.58, I 496
2θ 29.07, I 429
2θ 58.59, I 198
2θ 71.36, I 166
2θ 22.42, I 158
2θ 45.77, I 144
2θ 43.72, I 142
2θ 51.54, I 129
2θ 60.27, I 123

***

3.
# Si23Sn4
Theoretical X-ray powder pattern, Cu Kα (λ = 1.5418 Å). Input: a GGA-PBE-relaxed structure.
Peak positions follow from Bragg's law for the DFT cell and can differ from measured ones.

abc: 10.201 10.201 10.201
angles: 90.00 90.00 90.00
Element x y z (fractional)
1 Si 0.000 0.117 0.310
2 Si 0.000 0.117 0.690
3 Si 0.000 0.250 0.500
4 Si 0.000 0.750 0.500
5 Si 0.000 0.883 0.310
6 Si 0.000 0.883 0.690
7 Si 0.117 0.310 0.000
8 Si 0.117 0.690 0.000
9 Si 0.184 0.184 0.184
10 Si 0.184 0.184 0.816
11 Si 0.184 0.816 0.184
12 Si 0.184 0.816 0.816
13 Si 0.190 0.383 0.500
14 Si 0.190 0.617 0.500
15 Si 0.250 0.500 0.000
16 Si 0.310 0.000 0.117
17 Si 0.310 0.000 0.883
18 Si 0.316 0.316 0.316
19 Si 0.316 0.316 0.684
20 Si 0.316 0.684 0.316
21 Si 0.316 0.684 0.684
22 Si 0.383 0.500 0.190
23 Si 0.383 0.500 0.810
24 Si 0.500 0.000 0.250
25 Si 0.500 0.000 0.750
26 Si 0.500 0.190 0.383
27 Si 0.500 0.190 0.617
28 Si 0.500 0.810 0.383
29 Si 0.500 0.810 0.617
30 Si 0.617 0.500 0.190
31 Si 0.617 0.500 0.810
32 Si 0.684 0.316 0.316
33 Si 0.684 0.316 0.684
34 Si 0.684 0.684 0.316
35 Si 0.684 0.684 0.684
36 Si 0.690 0.000 0.117
37 Si 0.690 0.000 0.883
38 Si 0.750 0.500 0.000
39 Si 0.810 0.383 0.500
40 Si 0.810 0.617 0.500
41 Si 0.816 0.184 0.184
42 Si 0.816 0.184 0.816
43 Si 0.816 0.816 0.184
44 Si 0.816 0.816 0.816
45 Si 0.883 0.310 0.000
46 Si 0.883 0.690 0.000
47 Sn 0.000 0.000 0.000
48 Sn 0.000 0.500 0.250
49 Sn 0.000 0.500 0.750
50 Sn 0.250 0.000 0.500
51 Sn 0.500 0.250 0.000
52 Sn 0.500 0.500 0.500
53 Sn 0.500 0.750 0.000
54 Sn 0.750 0.000 0.500

Largest 10 diffraction maxima, in order of falling intensity, 2θ = 10–90°:
2θ 32.85, I 1000
2θ 31.62, I 442
2θ 55.53, I 397
2θ 30.35, I 260
2θ 35.19, I 227
2θ 19.46, I 217
2θ 21.33, I 202
2θ 53.93, I 178
2θ 67.47, I 142
2θ 73.03, I 130

***

4.
# AlBiSe2N
Theoretical X-ray powder pattern, Cu Kα (λ = 1.5418 Å). Input: a GGA-PBE-relaxed structure.
Peak positions follow from Bragg's law for the DFT cell and can differ from measured ones.

abc: 5.219 5.219 3.630
angles: 90.00 90.00 90.00
Element x y z (fractional)
1 Al 0.000 0.000 0.000
2 Bi 0.500 0.500 0.500
3 Se 0.000 0.500 0.000
4 Se 0.500 0.000 0.000
5 N 0.000 0.000 0.500

Largest 10 diffraction maxima, in order of falling intensity, 2θ = 10–90°:
2θ 34.66, I 1000
2θ 34.37, I 681
2θ 16.99, I 576
2θ 29.99, I 564
2θ 61.75, I 374
2θ 46.25, I 359
2θ 49.40, I 242
2θ 62.32, I 241
2θ 38.58, I 169
2θ 73.14, I 152

***

5.
# Pr2Y6S3
Theoretical X-ray powder pattern, Cu Kα (λ = 1.5418 Å). Input: a GGA-PBE-relaxed structure.
Peak positions follow from Bragg's law for the DFT cell and can differ from measured ones.

abc: 24.777 24.777 24.777
angles: 8.75 8.75 8.75
Element x y z (fractional)
1 Pr 0.058 0.058 0.058
2 Pr 0.942 0.942 0.942
3 Y 0.143 0.143 0.143
4 Y 0.314 0.314 0.314
5 Y 0.433 0.433 0.433
6 Y 0.567 0.567 0.567
7 Y 0.686 0.686 0.686
8 Y 0.857 0.857 0.857
9 S 0.212 0.212 0.212
10 S 0.500 0.500 0.500
11 S 0.788 0.788 0.788

Largest 10 diffraction maxima, in order of falling intensity, 2θ = 10–90°:
2θ 28.93, I 1000
2θ 30.35, I 722
2θ 48.12, I 595
2θ 33.52, I 485
2θ 57.14, I 445
2θ 32.15, I 343
2θ 35.81, I 270
2θ 51.42, I 221
2θ 29.83, I 205
2θ 80.30, I 134

***

6.
# LiLaTl3
Theoretical X-ray powder pattern, Cu Kα (λ = 1.5418 Å). Input: a GGA-PBE-relaxed structure.
Peak positions follow from Bragg's law for the DFT cell and can differ from measured ones.

abc: 6.715 6.715 5.918
angles: 90.00 90.00 90.00
Element x y z (fractional)
1 Li 0.250 0.250 0.218
2 Li 0.750 0.750 0.782
3 La 0.250 0.750 0.500
4 La 0.750 0.250 0.500
5 Tl 0.000 0.000 0.000
6 Tl 0.000 0.500 0.000
7 Tl 0.250 0.250 0.641
8 Tl 0.500 0.000 0.000
9 Tl 0.500 0.500 0.000
10 Tl 0.750 0.750 0.359

Largest 10 diffraction maxima, in order of falling intensity, 2θ = 10–90°:
2θ 30.61, I 1000
2θ 37.90, I 356
2θ 63.97, I 250
2θ 49.20, I 150
2θ 20.00, I 143
2θ 30.20, I 143
2θ 54.67, I 125
2θ 40.64, I 102
2θ 33.46, I 81
2θ 33.08, I 73